Record 1
# CsScBrCl3
Theoretical X-ray diffraction stick pattern, CuKα. Input: a DFT-relaxed cell (PBE, Alexandria).
Intensities are scaled so that the largest is 100.

Structure:
a = 6.798 Å, b = 22.790 Å, c = 6.822 Å
α = 90.00°, β = 90.62°, γ = 90.00°
Space group C2/c (No. 15)
Unique sites:
Cs: 0.000 0.248 0.250
Sc: 0.000 0.468 0.750
Br: 0.000 0.196 0.750
Cl: 0.000 0.368 0.750
Cl: 0.239 0.487 0.026

The 10 most intense peaks (10 to 90 degrees two-theta), in order of rising 2θ:
| 2theta | I (rel.) | (hkl) |
| --- | --- | --- |
| 15.55 | 88 | 0 4 0 |
| 21.77 | 41 | 1 3 -1 |
| 26.17 | 54 | 0 0 2 |
| 27.00 | 27 | 1 5 1 |
| 27.34 | 100 | 2 2 0 |
| 33.16 | 38 | 1 7 -1 |
| 33.27 | 25 | 1 7 1 |
| 37.14 | 27 | 2 0 -2 |
| 37.56 | 27 | 2 0 2 |
| 47.77 | 25 | 1 11 -1 |

***

Record 2
# Ti7Hg2Mo
Theoretical X-ray diffraction stick pattern, CuKα. Input: a DFT-relaxed cell (PBE, Alexandria).
Intensities are scaled so that the largest is 100.

Structure:
a = 9.400 Å, b = 9.400 Å, c = 9.400 Å
α = 90.00°, β = 90.00°, γ = 90.00°
Space group Fm-3m (No. 225)
Unique sites:
Ti: 0.000 0.000 0.000
Ti: 0.000 0.000 0.248
Hg: 0.250 0.250 0.250
Mo: 0.000 0.000 0.500

The 10 most intense peaks (10 to 90 degrees two-theta), in order of rising 2θ:
| 2theta | I (rel.) | (hkl) |
| --- | --- | --- |
| 26.83 | 100 | 2 2 0 |
| 33.01 | 57 | 2 2 2 |
| 38.30 | 67 | 4 0 0 |
| 47.38 | 44 | 4 2 2 |
| 55.29 | 44 | 4 4 0 |
| 62.49 | 20 | 6 2 0 |
| 65.92 | 22 | 6 2 2 |
| 69.25 | 15 | 4 4 4 |
| 75.72 | 23 | 6 4 2 |
| 88.20 | 12 | 6 6 0 |